Diffraction record for Li4NbFe3O12. The X-ray diffraction stick pattern is computed, not measured: it uses the PBE+U geometry in Alexandria and Cu Kα (weighted mean of Kα1 and Kα2).
No peak broadening, texture or thermal motion is included.

Main lines, most intense first (2θ from 5° to 70°):
2θ 20.89, d = 4.252 Å, I = 100; 2θ 20.68, d = 4.296 Å, I = 35; 2θ 33.16, d = 2.702 Å, I = 30; 2θ 33.59, d = 2.668 Å, I = 28; 2θ 41.39, d = 2.182 Å, I = 17; 2θ 53.20, d = 1.722 Å, I = 14

Structural model:
```
Li4NbFe3O12
1.0
4.9572 0.0000 0.0000
0.0000 8.2744 0.0000
-0.1092 0.0000 5.0258
Li Nb Fe O
4 1 3 12
Direct
0.0000 0.0000 0.0000
0.0000 0.3702 0.5000
0.5000 0.4991 0.5000
0.5000 0.9003 0.0000
0.0000 0.5938 0.0000
0.0000 0.7972 0.5000
0.5000 0.0991 0.5000
0.5000 0.2833 0.0000
0.1920 0.7894 0.8193
0.2073 0.6253 0.3382
0.2463 0.9534 0.3462
0.2594 0.4422 0.8505
0.3054 0.1161 0.8173
0.3051 0.2724 0.3149
0.6946 0.1161 0.1827
0.6949 0.2724 0.6851
0.7406 0.4422 0.1495
0.7537 0.9534 0.6538
0.7927 0.6253 0.6618
0.8080 0.7894 0.1807
```